Li2Zn2W2O9: computed X-ray diffraction stick pattern (Cu Kα (weighted mean of Kα1 and Kα2)), based on the GGA+U geometry in Alexandria.
Peak positions follow from Bragg's law for the DFT cell and can differ from measured ones.

```
Li2Zn2W2O9
1.0
5.2248 0.0000 0.0000
-2.6124 4.5248 0.0000
0.0000 0.0000 14.4292
Li Zn W O
4 4 4 18
Direct
0.3333 0.6667 0.0158
0.3333 0.6667 0.5158
0.6667 0.3333 0.4842
0.6667 0.3333 0.9842
0.3333 0.6667 0.3070
0.3333 0.6667 0.8070
0.6667 0.3333 0.1930
0.6667 0.3333 0.6930
0.0000 0.0000 0.1412
0.0000 0.0000 0.3588
0.0000 0.0000 0.6412
0.0000 0.0000 0.8588
0.0000 0.2819 0.2500
0.0000 0.7181 0.7500
0.0280 0.3316 0.9121
0.0280 0.6964 0.4121
0.2819 0.0000 0.2500
0.2819 0.2819 0.7500
0.3036 0.3316 0.4121
0.3036 0.9720 0.9121
0.3316 0.0280 0.5879
0.3316 0.3036 0.0879
0.6684 0.6964 0.9121
0.6684 0.9720 0.4121
0.6964 0.0280 0.0879
0.6964 0.6684 0.5879
0.7181 0.0000 0.7500
0.7181 0.7181 0.2500
0.9720 0.3036 0.5879
0.9720 0.6684 0.0879
```

Principal peaks in the range 10 to 80 degrees two-theta, by angle:
Position (°2θ)	intensity
12.27	33
19.62	100
24.68	21
31.72	88
34.33	54
42.74	27
47.43	32
51.66	22
59.85	32
61.48	19